Entry 1:
The following is a calculated powder XRD pattern of Cs3Tb7Te12. It was derived from a PBE-relaxed structure, using λ = 1.5418 Å (Cu Kα).

Structural model:
a b c (Å): 4.464 13.822 28.462
angles (deg): 90.00 90.00 90.00
Space group Pmn2_1 (No. 31)
Symmetry-distinct sites (fractional):
1 Cs 0.000 0.028 0.000 x2
2 Cs 0.000 0.310 0.658 x2
3 Cs 0.000 0.466 0.261 x2
4 Tb 0.000 0.165 0.341 x2
5 Tb 0.000 0.250 0.129 x2
6 Tb 0.000 0.335 0.917 x2
7 Tb 0.000 0.537 0.543 x2
8 Tb 0.000 0.665 0.946 x2
9 Tb 0.000 0.837 0.313 x2
10 Tb 0.000 0.963 0.715 x2
11 Te 0.000 0.184 0.450 x2
12 Te 0.000 0.188 0.233 x2
13 Te 0.000 0.311 0.025 x2
14 Te 0.000 0.317 0.807 x2
15 Te 0.000 0.502 0.431 x2
16 Te 0.000 0.594 0.648 x2
17 Te 0.000 0.618 0.052 x2
18 Te 0.000 0.684 0.839 x2
19 Te 0.000 0.815 0.419 x2
20 Te 0.000 0.883 0.207 x2
21 Te 0.000 0.903 0.612 x2
22 Te 0.000 0.998 0.827 x2

Peak list (10 most intense, 2θ = 10–90°, in order of rising 2θ)
2θ (°)	I/Imax
25.86	18
28.01	100
28.54	15
28.96	23
31.43	13
39.75	34
40.05	14
40.41	26
41.68	19
50.48	11

Entry 2:
The following is a calculated powder XRD pattern of Al4CrS8. It was derived from a PBE-relaxed structure, using λ = 1.5418 Å (Cu Kα).

Structural model:
a b c (Å): 9.894 9.894 9.894
angles (deg): 90.00 90.00 90.00
Space group F-43m (No. 216)
Symmetry-distinct sites (fractional):
1 Al 0.111 0.111 0.111 x16
2 Cr 0.000 0.000 0.500 x4
3 S 0.124 0.124 0.876 x16
4 S 0.129 0.129 0.371 x16

Peak list (10 most intense, 2θ = 10–90°, in order of rising 2θ)
2θ (°)	I/Imax
17.93	29
25.46	17
29.95	55
31.32	57
36.32	90
47.77	30
52.31	100
62.24	20
65.35	17
88.36	22

Entry 3:
The following is a calculated powder XRD pattern of DyTc2. It was derived from a PBE-relaxed structure, using λ = 1.5418 Å (Cu Kα).

Structural model:
a b c (Å): 5.3648 5.3648 8.9149
angles (deg): 90.00 90.00 120.00
Space group P6_3/mmc (No. 194)
Symmetry-distinct sites (fractional):
1 Dy 0.3333 0.6667 0.0637 x4
2 Tc 0.0000 0.0000 0.0000 x2
3 Tc 0.1715 0.3430 0.7500 x6

Peak list (10 most intense, 2θ = 10–90°, in order of rising 2θ)
2θ (°)	I/Imax
33.40	44
35.87	88
39.20	100
40.11	71
61.32	33
63.60	24
66.05	35
70.17	25
76.05	16
81.40	16